Starting from the PBE geometry in Alexandria, the XRD peak list of Li2ScGeO4 was calculated for Cu Kα (weighted mean of Kα1 and Kα2).
Intensities are scaled so that the largest is 100.

Peak list (12 most intense, 10 to 90 degrees two-theta, most intense first)
3.834 Å, 23.20°, intensity 100.0
2.109 Å, 42.89°, intensity 48.1
1.555 Å, 59.45°, intensity 30.6
2.302 Å, 39.14°, intensity 30.4
1.848 Å, 49.32°, intensity 24.3
2.481 Å, 36.20°, intensity 18.9
2.503 Å, 35.88°, intensity 18.5
1.491 Å, 62.27°, intensity 13.7
1.251 Å, 76.06°, intensity 13.4
1.687 Å, 54.37°, intensity 12.5
1.318 Å, 71.62°, intensity 10.1
1.607 Å, 57.34°, intensity 10.1

Structural model:
Cell: 5.4848 5.4848 5.4848 Å, 134.78 134.78 65.87°
Fractional coordinates of all 8 atoms:
Li 0.0000 0.0000 0.0000
Li 0.7500 0.2500 0.5000
Sc 0.2500 0.7500 0.5000
Ge 0.5000 0.5000 0.0000
O 0.0155 0.5155 0.5000
O 0.2672 0.2672 0.0000
O 0.4845 0.9845 0.5000
O 0.7328 0.7328 0.0000